Theoretical X-ray diffraction stick pattern of Na2Sr2Nb4O13 for Cu Kα X-rays, from DFT lattice parameters and positions (PBE).

Crystal structure
```
21
Lattice="-3.7706 3.7956 5.3366 3.7706 -3.7956 5.3366 3.7706 3.7956 -5.3366" Properties=species:S:1:pos:R:3 pbc="T T T"
Na 1.7334 0.0000 0.0000
Na 5.8079 0.0000 0.0000
Sr 0.0000 1.8131 2.4872
Sr 0.0000 5.7780 2.4872
Nb 1.8899 3.7956 -0.0895
Nb 1.8807 0.0000 5.2472
Nb 3.7706 1.8944 2.5856
Nb 0.0000 1.9011 7.9222
O 0.0000 0.0000 1.2764
O 1.4703 2.3388 -1.4306
O 2.3003 -1.4568 3.9060
O 3.7706 0.0000 1.8837
O 0.0000 0.0000 4.5365
O 2.3405 2.3871 1.2524
O 1.4302 -1.4084 6.5890
O 1.4703 5.2523 -1.4306
O 2.3003 1.4568 3.9060
O 0.0000 3.7956 0.6625
O 0.0000 0.0000 8.5483
O 2.3405 5.2040 1.2524
O 1.4302 1.4084 6.5890
```

Principal peaks in the range 5° ≤ 2θ ≤ 70°, in order of rising 2θ:
2θ (°), I (rel.)
14.32, 59
27.71, 18
28.87, 100
29.00, 100
33.53, 55
47.94, 15
48.17, 60
48.27, 15
57.00, 28
57.23, 54

Theoretical X-ray diffraction stick pattern of Na3TbTi2Nb2O12 for Cu Kα X-rays, from DFT lattice parameters and positions (PBE).

Crystal structure
```
20
Lattice="5.4440 0.0000 0.0000 0.0716 5.5943 0.0000 0.0093 0.0184 7.7811" Properties=species:S:1:pos:R:3 pbc="T T T"
Na 0.0000 0.0000 0.0000
Na 0.1603 5.2454 3.9030
Na 2.8258 2.7462 0.0088
Tb 2.7556 2.2839 3.9034
Ti 2.8672 5.3107 5.7870
Ti 5.4713 2.5389 2.0266
Nb 0.0568 2.6094 5.9437
Nb 2.8581 5.3090 1.8604
O 0.4408 2.5422 0.0373
O 1.2582 1.1578 2.3678
O 1.2822 1.1535 5.4425
O 1.7373 3.8156 2.3742
O 1.7564 3.8346 5.4351
O 2.4060 5.3847 7.7689
O 3.1893 0.0096 3.9272
O 3.9012 1.5455 6.0338
O 3.9060 1.5430 1.7803
O 4.4241 4.3467 6.1305
O 4.4554 4.3168 1.6556
O 5.0122 2.8111 3.8726
```

Principal peaks in the range 5° ≤ 2θ ≤ 70°, in order of rising 2θ:
2θ (°), I (rel.)
11.37, 52
19.55, 49
19.90, 47
32.00, 53
32.39, 99
32.61, 100
32.91, 48
46.24, 33
46.69, 35
58.30, 45

Theoretical X-ray diffraction stick pattern of Na3TbTi2Nb2O12 for Cu Kα X-rays, from DFT lattice parameters and positions (PBE).

Crystal structure
```
40
Lattice="15.4753 0.0000 0.0000 0.0000 5.4858 0.0000 0.0000 0.0000 5.6353" Properties=species:S:1:pos:R:3 pbc="T T T"
Na 0.0000 1.2986 0.0000
Na 0.0000 4.1872 2.8176
Na 3.9346 1.3968 5.3663
Na 3.9346 4.0890 2.5487
Na 11.5407 1.3968 5.3663
Na 11.5407 4.0890 2.5487
Tb 7.7376 1.3218 0.2059
Tb 7.7376 4.1639 3.0235
Ti 5.7779 1.4203 2.8162
Ti 5.7779 4.0654 5.6338
Ti 9.6974 1.4203 2.8162
Ti 9.6974 4.0654 5.6338
Nb 1.9658 1.3915 2.7492
Nb 1.9658 4.0942 5.5668
Nb 13.5095 1.3915 2.7492
Nb 13.5095 4.0942 5.5668
O 0.0000 1.8169 2.5520
O 0.0000 3.6688 5.3697
O 1.6362 0.1553 4.1803
O 1.6362 5.3305 1.3627
O 2.2952 2.5521 1.0348
O 2.2952 2.9336 3.8524
O 3.9427 0.9539 2.7090
O 3.9427 4.5319 5.5267
O 5.6417 2.4935 0.9525
O 5.6417 2.9923 3.7702
O 6.2929 0.2459 4.2437
O 6.2929 5.2399 1.4261
O 7.7376 1.8766 2.4643
O 7.7376 3.6092 5.2819
O 9.1824 0.2459 4.2437
O 9.1824 5.2399 1.4261
O 9.8336 2.4935 0.9525
O 9.8336 2.9923 3.7702
O 11.5326 0.9539 2.7090
O 11.5326 4.5319 5.5267
O 13.1800 2.5521 1.0348
O 13.1800 2.9336 3.8524
O 13.8391 0.1553 4.1803
O 13.8391 5.3305 1.3627
```

Principal peaks in the range 5° ≤ 2θ ≤ 70°, in order of rising 2θ:
2θ (°), I (rel.)
5.71, 33
11.44, 25
17.19, 26
23.35, 46
25.42, 20
31.76, 26
32.47, 100
32.65, 23
46.19, 33
58.15, 24

Theoretical X-ray diffraction stick pattern of Na3TmTi2Nb2O12 for Cu Kα X-rays, from DFT lattice parameters and positions (PBE).

Crystal structure
```
20
Lattice="5.4128 0.0000 0.0000 0.0659 5.5805 0.0000 0.0029 0.0188 7.7404" Properties=species:S:1:pos:R:3 pbc="T T T"
Na 0.0000 0.0000 0.0000
Na 0.1664 5.1700 3.8798
Na 2.8245 2.7326 0.0068
Tm 2.7290 2.2161 3.8827
Ti 5.4425 2.5048 1.9982
Ti 2.8448 5.2726 5.7651
Nb 0.0549 2.5730 5.8962
Nb 2.8433 5.2613 1.8661
O 0.4716 2.4940 0.0346
O 1.2553 1.1062 2.3707
O 1.2793 1.0935 5.3948
O 1.7592 3.7304 2.3935
O 1.7764 3.7503 5.3748
O 2.3741 5.3123 7.7302
O 3.2606 5.5844 3.9041
O 3.8747 1.4945 6.0267
O 3.8875 1.4974 1.7418
O 4.4092 4.2980 6.1151
O 4.4444 4.2636 1.6339
O 4.9250 2.7528 3.8550
```

Principal peaks in the range 5° ≤ 2θ ≤ 70°, in order of rising 2θ:
2θ (°), I (rel.)
11.43, 60
19.62, 52
20.02, 51
32.08, 51
32.56, 100
32.76, 100
33.10, 47
46.47, 31
47.00, 65
58.66, 46

Theoretical X-ray diffraction stick pattern of Na3TmTi2Nb2O12 for Cu Kα X-rays, from DFT lattice parameters and positions (PBE).

Crystal structure
```
40
Lattice="15.4689 0.0000 0.0000 0.0000 5.4172 0.0000 0.0000 0.0000 5.5886" Properties=species:S:1:pos:R:3 pbc="T T T"
Na 0.0000 1.3066 0.0000
Na 0.0000 4.1106 2.7943
Na 3.9319 1.3810 5.2197
Na 3.9319 4.0362 2.4255
Na 11.5370 1.3810 5.2197
Na 11.5370 4.0362 2.4255
Tm 7.7345 1.2807 0.1844
Tm 7.7345 4.1365 2.9786
Ti 5.7887 1.4279 2.7335
Ti 5.7887 3.9893 5.5278
Ti 9.6802 1.4279 2.7335
Ti 9.6802 3.9893 5.5278
Nb 1.9673 1.3573 2.6056
Nb 1.9673 4.0599 5.3999
Nb 13.5016 1.3573 2.6056
Nb 13.5016 4.0599 5.3999
O 0.0000 1.7794 2.4990
O 0.0000 3.6378 5.2933
O 1.6471 0.2414 4.2309
O 1.6471 5.1758 1.4366
O 2.2839 2.4651 0.9643
O 2.2839 2.9521 3.7586
O 3.9533 0.9547 2.6989
O 3.9533 4.4624 5.4932
O 5.6290 2.4138 0.8641
O 5.6290 3.0033 3.6584
O 6.3445 0.2571 4.1582
O 6.3445 5.1601 1.3639
O 7.7345 1.9435 2.3528
O 7.7345 3.4737 5.1471
O 9.1244 0.2571 4.1582
O 9.1244 5.1601 1.3639
O 9.8399 2.4138 0.8641
O 9.8399 3.0033 3.6584
O 11.5156 0.9547 2.6989
O 11.5156 4.4624 5.4932
O 13.1850 2.4651 0.9643
O 13.1850 2.9521 3.7586
O 13.8218 0.2414 4.2309
O 13.8218 5.1758 1.4366
```

Principal peaks in the range 5° ≤ 2θ ≤ 70°, in order of rising 2θ:
2θ (°), I (rel.)
5.71, 41
11.44, 29
17.20, 28
23.58, 46
25.64, 22
32.03, 24
32.65, 100
33.07, 23
46.71, 29
58.81, 23

Theoretical X-ray diffraction stick pattern of NaNb2PS10 for Cu Kα X-rays, from DFT lattice parameters and positions (PBE).

Crystal structure
```
56
Lattice="13.0683 -4.1322 0.0000 13.0683 4.1322 0.0000 -0.0939 0.0000 13.0307" Properties=species:S:1:pos:R:3 pbc="T T T"
Na 1.4998 0.0331 1.5587
Na 1.4528 -0.0331 8.0741
Na 24.5899 0.0331 4.9566
Na 24.5430 -0.0331 11.4719
Nb 9.3452 0.5300 10.1250
Nb 9.3678 0.4812 6.3345
Nb 9.3209 -0.4812 12.8499
Nb 9.3921 -0.5300 3.6097
Nb 16.6507 0.5300 9.4210
Nb 16.7219 0.4812 0.1808
Nb 16.6749 -0.4812 6.6961
Nb 16.6976 -0.5300 2.9056
P 10.3299 3.1172 8.1942
P 15.6659 3.1172 11.3518
P 10.3769 -3.1172 1.6789
P 15.7128 -3.1172 4.8365
S 11.6791 3.6191 1.6591
S 3.7732 1.0556 6.5592
S 3.7875 1.0086 3.1206
S 14.4106 3.6191 4.8563
S 7.5526 1.0054 11.7978
S 7.5918 0.9174 4.6454
S 8.9422 1.1622 1.7323
S 7.6148 0.4385 8.2166
S 3.7406 -1.0086 9.6360
S 3.8201 -1.0556 0.0439
S 11.1260 1.1805 8.2346
S 11.1347 0.9704 11.9361
S 11.2080 0.8910 4.5767
S 7.6617 -0.4385 1.7013
S 7.5449 -0.9174 11.1607
S 7.5995 -1.0054 5.2825
S 14.8698 1.1805 11.3113
S 14.8611 0.9704 7.6099
S 14.8817 0.8910 1.9386
S 8.8953 -1.1622 8.2477
S 17.1474 1.1622 4.7830
S 11.1611 -0.8910 11.0920
S 11.1816 -0.9704 5.4208
S 11.1729 -1.1805 1.7193
S 18.4432 1.0054 7.7482
S 18.4979 0.9174 1.8700
S 18.3811 0.4385 11.3294
S 14.8348 -0.8910 8.4540
S 14.9081 -0.9704 1.0945
S 14.9168 -1.1805 4.7960
S 22.2227 1.0556 12.9868
S 22.3022 1.0086 3.3947
S 18.4280 -0.4385 4.8140
S 17.1005 -1.1622 11.2983
S 18.4510 -0.9174 8.3853
S 18.4902 -1.0054 1.2329
S 11.6322 -3.6191 8.1744
S 22.2552 -1.0086 9.9100
S 22.2696 -1.0556 6.4714
S 14.3636 -3.6191 11.3716
```

Principal peaks in the range 5° ≤ 2θ ≤ 70°, in order of rising 2θ:
2θ (°), I (rel.)
11.23, 61
13.12, 23
13.55, 100
14.77, 99
16.30, 13
21.50, 26
34.28, 24
36.32, 14
38.89, 12
39.19, 13

Theoretical X-ray diffraction stick pattern of NaNb6S8 for Cu Kα X-rays, from DFT lattice parameters and positions (PBE).

Crystal structure
```
15
Lattice="9.6276 0.0000 0.0000 -4.8138 8.3377 0.0000 0.0000 0.0000 3.4321" Properties=species:S:1:pos:R:3 pbc="T T T"
Na 0.0000 0.0000 0.0000
Nb -1.2636 4.0635 2.5751
Nb -0.6629 7.4003 2.5751
Nb 2.8873 3.1261 0.8570
Nb 1.9265 5.2116 2.5751
Nb 5.4767 0.9374 0.8570
Nb 6.0774 4.2742 0.8570
S -2.9120 5.9496 2.5717
S 1.1173 2.8411 2.5717
S 0.0000 5.5585 0.8584
S 3.0191 0.4529 0.8604
S 1.7947 7.8849 2.5717
S 4.8138 2.7792 2.5737
S 3.6965 5.4967 0.8604
S 7.7258 2.3882 0.8604
```

Principal peaks in the range 5° ≤ 2θ ≤ 70°, in order of rising 2θ:
2θ (°), I (rel.)
10.61, 100
21.31, 19
28.12, 30
28.32, 28
38.79, 88
38.95, 37
41.82, 13
46.06, 33
50.14, 21
65.14, 13

Theoretical X-ray diffraction stick pattern of NaNb2S4 for Cu Kα X-rays, from DFT lattice parameters and positions (PBE).

Crystal structure
```
7
Lattice="3.4098 0.0000 0.0000 -1.7049 2.9530 0.0000 0.0000 0.0000 14.3202" Properties=species:S:1:pos:R:3 pbc="T T T"
Na 0.0000 0.0000 0.0000
Nb 0.0000 0.0000 10.7060
Nb 1.7049 0.9843 3.5951
S 0.0000 1.9687 2.0133
S 0.0000 1.9687 5.1173
S 0.0000 1.9687 9.1833
S 0.0000 1.9687 12.2876
```

Principal peaks in the range 5° ≤ 2θ ≤ 70°, in order of rising 2θ:
2θ (°), I (rel.)
12.36, 100
30.92, 48
35.75, 32
39.56, 44
44.05, 17
49.08, 12
53.77, 20
54.57, 9
55.40, 12
68.78, 8

Theoretical X-ray diffraction stick pattern of NaNbS6 for Cu Kα X-rays, from DFT lattice parameters and positions (PBE).

Crystal structure
```
32
Lattice="3.7338 -10.7979 0.0000 3.7338 10.7979 0.0000 -2.8243 0.0000 10.9039" Properties=species:S:1:pos:R:3 pbc="T T T"
Na 0.9286 3.8853 3.2293
Na -0.4836 -3.8853 8.6812
Na 5.1269 3.8853 2.2227
Na 3.7147 -3.8853 7.6746
Nb -0.1008 1.2913 10.2722
Nb 1.3114 -1.2913 4.8203
Nb 3.3319 1.2913 6.0836
Nb 4.7441 -1.2913 0.6316
S -1.4001 3.7232 10.5087
S -2.0114 0.2600 9.2175
S -0.5992 -0.2600 3.7655
S 1.8198 7.1063 5.5698
S 1.4113 7.1063 10.7860
S 0.6611 2.8879 8.5075
S 2.5888 2.9362 1.1773
S 0.0121 -3.7232 5.0568
S 1.1852 0.3830 6.5432
S 2.5974 -0.3830 1.0912
S 3.4666 2.9362 4.2746
S 2.5701 2.8879 7.8482
S 2.0732 -2.8879 3.0556
S 1.1767 -2.9362 6.6293
S 2.0459 0.3830 9.8126
S 3.4581 -0.3830 4.3607
S 4.6312 3.7232 5.8471
S 2.0545 -2.9362 9.7265
S 3.9822 -2.8879 2.3963
S 3.2320 -7.1063 0.1179
S 2.8235 -7.1063 5.3341
S 5.2425 0.2600 7.1383
S 6.6547 -0.2600 1.6864
S 6.0434 -3.7232 0.3951
```

Principal peaks in the range 5° ≤ 2θ ≤ 70°, in order of rising 2θ:
2θ (°), I (rel.)
8.19, 100
12.91, 37
16.26, 32
16.83, 31
18.22, 30
18.34, 27
20.49, 41
21.65, 32
25.94, 29
35.09, 27